# 1
The following is a computed powder XRD pattern of LaAl10Fe2. It was derived from the GGA-PBE geometry in Alexandria, using Cu Kα, 1.54184 Å.

a b c (Å): 6.812 6.812 9.072
angles (deg): 90.00 90.00 97.16
Fractional coordinates of all 26 atoms:
La  0.121  0.879  0.750
La  0.879  0.121  0.250
Al  0.131  0.411  0.750
Al  0.164  0.836  0.099
Al  0.164  0.836  0.401
Al  0.222  0.479  0.250
Al  0.229  0.229  0.000
Al  0.229  0.229  0.500
Al  0.377  0.623  0.552
Al  0.377  0.623  0.948
Al  0.411  0.131  0.250
Al  0.479  0.222  0.750
Al  0.521  0.778  0.250
Al  0.589  0.869  0.750
Al  0.623  0.377  0.052
Al  0.623  0.377  0.448
Al  0.771  0.771  0.000
Al  0.771  0.771  0.500
Al  0.778  0.521  0.750
Al  0.836  0.164  0.599
Al  0.836  0.164  0.901
Al  0.869  0.589  0.250
Fe  0.000  0.500  0.000
Fe  0.000  0.500  0.500
Fe  0.500  0.000  0.000
Fe  0.500  0.000  0.500

Principal peaks in the range 10° ≤ 2θ ≤ 90°, by intensity:
2theta	Rel. int.
40.01	100
40.56	88
34.45	38
36.95	35
27.91	33
28.18	32
39.74	30
16.35	26

***

# 2
The following is a computed powder XRD pattern of RbTlSbS3. It was derived from the GGA-PBE geometry in Alexandria, using Cu Kα, 1.54184 Å.

a b c (Å): 8.155 8.155 7.260
angles (deg): 92.70 92.70 124.95
Fractional coordinates of all 12 atoms:
Rb  0.240  0.760  0.750
Rb  0.760  0.240  0.250
Tl  0.089  0.911  0.250
Tl  0.911  0.089  0.750
Sb  0.455  0.545  0.250
Sb  0.545  0.455  0.750
S  0.241  0.278  0.492
S  0.278  0.241  0.992
S  0.285  0.715  0.250
S  0.715  0.285  0.750
S  0.722  0.759  0.008
S  0.759  0.722  0.508

Principal peaks in the range 10° ≤ 2θ ≤ 90°, by intensity:
2theta	Rel. int.
24.61	100
25.78	68
23.73	42
32.63	35
12.24	28
36.26	26
42.59	24
41.47	19

***

# 3
The following is a computed powder XRD pattern of LaHo3Sb2. It was derived from the GGA-PBE geometry in Alexandria, using Cu Kα, 1.54184 Å.

a b c (Å): 9.504 9.504 9.779
angles (deg): 113.00 113.00 26.56
Fractional coordinates of all 12 atoms:
La  0.112  0.112  0.125
La  0.888  0.888  0.875
Ho  0.058  0.058  0.674
Ho  0.311  0.311  0.114
Ho  0.359  0.359  0.524
Ho  0.641  0.641  0.476
Ho  0.689  0.689  0.886
Ho  0.942  0.942  0.326
Sb  0.244  0.244  0.709
Sb  0.486  0.486  0.156
Sb  0.514  0.514  0.844
Sb  0.756  0.756  0.291

Principal peaks in the range 10° ≤ 2θ ≤ 90°, by intensity:
2theta	Rel. int.
30.50	100
31.71	96
35.02	72
41.37	55
34.50	46
33.82	45
28.50	44
33.48	34

***

# 4
The following is a computed powder XRD pattern of PrEr5Pd2. It was derived from the GGA-PBE geometry in Alexandria, using Cu Kα, 1.54184 Å.

a b c (Å): 6.713 6.713 17.968
angles (deg): 90.00 90.00 146.86
Fractional coordinates of all 16 atoms:
Pr  0.149  0.851  0.750
Pr  0.851  0.149  0.250
Er  0.116  0.884  0.250
Er  0.155  0.845  0.542
Er  0.155  0.845  0.958
Er  0.447  0.553  0.601
Er  0.447  0.553  0.899
Er  0.553  0.447  0.101
Er  0.553  0.447  0.399
Er  0.845  0.155  0.042
Er  0.845  0.155  0.458
Er  0.884  0.116  0.750
Pd  0.239  0.761  0.123
Pd  0.239  0.761  0.377
Pd  0.761  0.239  0.623
Pd  0.761  0.239  0.877

Principal peaks in the range 10° ≤ 2θ ≤ 90°, by intensity:
2theta	Rel. int.
31.49	100
31.32	90
34.80	71
34.29	53
34.95	38
57.08	35
47.50	33
29.84	30

***

# 5
The following is a computed powder XRD pattern of Ho4CdBi2. It was derived from the GGA-PBE geometry in Alexandria, using Cu Kα, 1.54184 Å.

a b c (Å): 6.198 6.677 10.293
angles (deg): 90.00 103.26 90.00
Fractional coordinates of all 14 atoms:
Ho  0.023  0.004  0.255
Ho  0.023  0.496  0.255
Ho  0.356  0.750  0.533
Ho  0.465  0.750  0.163
Ho  0.535  0.250  0.837
Ho  0.644  0.250  0.467
Ho  0.977  0.504  0.745
Ho  0.977  0.996  0.745
Cd  0.416  0.750  0.829
Cd  0.584  0.250  0.171
Bi  0.133  0.250  0.008
Bi  0.188  0.250  0.538
Bi  0.812  0.750  0.462
Bi  0.867  0.750  0.992

Principal peaks in the range 10° ≤ 2θ ≤ 90°, by intensity:
2theta	Rel. int.
33.76	100
32.22	76
32.58	66
30.59	49
26.70	46
28.91	45
35.52	43
33.52	29

***

# 6
The following is a computed powder XRD pattern of BCS. It was derived from the GGA-PBE geometry in Alexandria, using Cu Kα, 1.54184 Å.

a b c (Å): 3.158 4.130 8.456
angles (deg): 103.46 100.60 90.01
Fractional coordinates of all 6 atoms:
B  0.000  0.000  0.000
B  0.086  0.584  0.176
C  0.088  0.953  0.180
C  0.998  0.365  0.996
S  0.161  0.316  0.329
S  0.925  0.587  0.848

Principal peaks in the range 10° ≤ 2θ ≤ 90°, by intensity:
2theta	Rel. int.
10.96	100
28.81	76
22.01	25
22.28	19
22.16	17
37.47	16
37.63	16
49.83	11

***

# 7
The following is a computed powder XRD pattern of BaGa4Ag4. It was derived from the GGA-PBE geometry in Alexandria, using Cu Kα, 1.54184 Å.

a b c (Å): 6.483 6.483 9.197
angles (deg): 90.00 90.00 90.00
Fractional coordinates of all 18 atoms:
Ba  0.250  0.750  0.250
Ba  0.750  0.250  0.750
Ga  0.050  0.250  0.076
Ga  0.250  0.050  0.576
Ga  0.250  0.450  0.576
Ga  0.450  0.250  0.076
Ga  0.550  0.750  0.924
Ga  0.750  0.550  0.424
Ga  0.750  0.950  0.424
Ga  0.950  0.750  0.924
Ag  0.021  0.250  0.364
Ag  0.250  0.021  0.864
Ag  0.250  0.479  0.864
Ag  0.479  0.250  0.364
Ag  0.521  0.750  0.636
Ag  0.750  0.521  0.136
Ag  0.750  0.979  0.136
Ag  0.979  0.750  0.636

Principal peaks in the range 10° ≤ 2θ ≤ 90°, by intensity:
2theta	Rel. int.
32.36	100
56.75	30
51.74	23
40.50	21
39.31	20
27.49	16
42.96	11
80.39	10

***

# 8
The following is a computed powder XRD pattern of Pm4ThMg3. It was derived from the GGA-PBE geometry in Alexandria, using Cu Kα, 1.54184 Å.

a b c (Å): 3.750 3.750 17.045
angles (deg): 90.00 90.00 90.00
Fractional coordinates of all 8 atoms:
Pm  0.000  0.000  0.115
Pm  0.000  0.000  0.362
Pm  0.000  0.000  0.638
Pm  0.000  0.000  0.885
Th  0.500  0.500  0.500
Mg  0.500  0.500  0.000
Mg  0.500  0.500  0.237
Mg  0.500  0.500  0.763

Principal peaks in the range 10° ≤ 2θ ≤ 90°, by intensity:
2theta	Rel. int.
31.79	100
33.80	45
59.20	34
55.31	17
48.55	16
28.52	15
10.38	15
24.30	13

***

# 9
The following is a computed powder XRD pattern of NbNi6Mo. It was derived from the GGA-PBE geometry in Alexandria, using Cu Kα, 1.54184 Å.

a b c (Å): 4.249 5.077 4.521
angles (deg): 90.00 90.00 90.00
Fractional coordinates of all 8 atoms:
Nb  0.000  0.000  0.000
Ni  0.000  0.256  0.507
Ni  0.000  0.500  0.014
Ni  0.000  0.744  0.507
Ni  0.500  0.000  0.667
Ni  0.500  0.255  0.190
Ni  0.500  0.745  0.190
Mo  0.500  0.500  0.695

Principal peaks in the range 10° ≤ 2θ ≤ 90°, by intensity:
2theta	Rel. int.
46.25	100
45.45	60
42.55	45
40.77	30
88.35	21
80.51	18
60.39	17
73.02	16

***

# 10
The following is a computed powder XRD pattern of V2HRh9. It was derived from the GGA-PBE geometry in Alexandria, using Cu Kα, 1.54184 Å.

a b c (Å): 3.818 3.818 11.096
angles (deg): 90.00 90.00 90.00
Fractional coordinates of all 12 atoms:
V  0.000  0.000  0.180
V  0.000  0.000  0.820
H  0.000  0.000  0.500
Rh  0.000  0.500  0.000
Rh  0.000  0.500  0.339
Rh  0.000  0.500  0.661
Rh  0.500  0.000  0.000
Rh  0.500  0.000  0.339
Rh  0.500  0.000  0.661
Rh  0.500  0.500  0.168
Rh  0.500  0.500  0.500
Rh  0.500  0.500  0.832

Principal peaks in the range 10° ≤ 2θ ≤ 90°, by intensity:
2theta	Rel. int.
41.41	100
47.64	33
84.40	24
70.96	19
49.27	14
86.85	11
69.66	10
90.00	10

***

# 11
The following is a computed powder XRD pattern of YNi2Te. It was derived from the GGA-PBE geometry in Alexandria, using Cu Kα, 1.54184 Å.

a b c (Å): 3.803 4.127 5.162
angles (deg): 90.00 90.00 90.00
Fractional coordinates of all 4 atoms:
Y  0.000  0.000  0.000
Ni  0.500  0.500  0.229
Ni  0.500  0.500  0.771
Te  0.500  0.000  0.500

Principal peaks in the range 10° ≤ 2θ ≤ 90°, by intensity:
2theta	Rel. int.
36.55	100
41.26	77
29.17	67
23.39	40
64.98	38
43.88	33
47.84	25
53.56	24

***

# 12
The following is a computed powder XRD pattern of In2Hg3Pb. It was derived from the GGA-PBE geometry in Alexandria, using Cu Kα, 1.54184 Å.

a b c (Å): 4.773 10.134 6.700
angles (deg): 90.00 90.00 90.00
Fractional coordinates of all 12 atoms:
In  0.000  0.001  0.000
In  0.000  0.999  0.500
In  0.500  0.190  0.749
In  0.500  0.810  0.249
Hg  0.000  0.323  0.504
Hg  0.000  0.325  0.990
Hg  0.000  0.675  0.490
Hg  0.000  0.677  0.004
Hg  0.500  0.134  0.250
Hg  0.500  0.866  0.750
Pb  0.500  0.461  0.248
Pb  0.500  0.539  0.748

Principal peaks in the range 10° ≤ 2θ ≤ 90°, by intensity:
2theta	Rel. int.
32.66	100
32.47	82
37.82	54
54.46	38
37.69	34
64.80	22
65.17	22
64.88	14